1.
For K3Br2F, a DFT-relaxed cell (PBE, Alexandria) gives the calculated X-ray powder pattern in this record (Cu Kα).

Structure:
a = 12.9358 Å, b = 4.4539 Å, c = 13.6033 Å
α = 90.00°, β = 90.00°, γ = 90.00°
Atoms (fractional coordinates):
K 0.0639 0.2500 0.1455
K 0.1431 0.7500 0.5552
K 0.2241 0.2500 0.7931
K 0.2759 0.7500 0.2931
K 0.3569 0.2500 0.0552
K 0.4361 0.7500 0.6455
K 0.5639 0.2500 0.3545
K 0.6431 0.7500 0.9448
K 0.7241 0.2500 0.7069
K 0.7759 0.7500 0.2069
K 0.8569 0.2500 0.4448
K 0.9361 0.7500 0.8545
Br 0.0120 0.7500 0.3331
Br 0.1644 0.7500 0.9805
Br 0.3356 0.2500 0.4805
Br 0.4880 0.2500 0.8331
Br 0.5120 0.7500 0.1669
Br 0.6644 0.7500 0.5195
Br 0.8356 0.2500 0.0195
Br 0.9880 0.2500 0.6669
F 0.2473 0.2500 0.2050
F 0.2527 0.7500 0.7050
F 0.7473 0.2500 0.2950
F 0.7527 0.7500 0.7950

Principal peaks in the range 2θ = 5–70°, by angle:
Position (°2θ)  d_spacing  intensity
21.6  4.110  46
24.9  3.581  92
27.6  3.229  100
28.9  3.086  86
29.7  3.010  50
30.6  2.921  68
31.7  2.819  47
34.9  2.570  38
36.8  2.442  36
40.5  2.227  58

***

2.
For K2ZrGe2O6, a DFT-relaxed cell (PBE, Alexandria) gives the calculated X-ray powder pattern in this record (Cu Kα).

Structure:
a = 5.8168 Å, b = 5.8168 Å, c = 6.9048 Å
α = 116.76°, β = 116.76°, γ = 60.78°
Atoms (fractional coordinates):
K 0.2108 0.2108 0.1863
K 0.7892 0.7892 0.8137
Zr 0.0000 0.0000 0.5000
Ge 0.4505 0.4505 0.7964
Ge 0.5495 0.5495 0.2036
O 0.2256 0.7215 0.2609
O 0.2430 0.2430 0.6359
O 0.2785 0.7744 0.7391
O 0.7215 0.2256 0.2609
O 0.7570 0.7570 0.3641
O 0.7744 0.2785 0.7391

Principal peaks in the range 2θ = 5–70°, by angle:
Position (°2θ)  d_spacing  intensity
20.0  4.444  56
20.8  4.280  51
27.1  3.296  30
30.4  2.943  72
30.5  2.931  90
30.8  2.906  100
40.6  2.222  18
50.4  1.810  19
54.2  1.692  21
57.7  1.599  23

***

3.
For CeGe4Pd6, a DFT-relaxed cell (PBE, Alexandria) gives the calculated X-ray powder pattern in this record (Cu Kα).

Structure:
a = 7.3425 Å, b = 7.3425 Å, c = 3.9985 Å
α = 90.00°, β = 90.00°, γ = 120.00°
Atoms (fractional coordinates):
Ce 0.0000 0.0000 0.0000
Ge 0.3333 0.6667 0.0000
Ge 0.3850 0.1925 0.5000
Ge 0.8075 0.1925 0.5000
Ge 0.8075 0.6150 0.5000
Pd 0.1999 0.3998 0.5000
Pd 0.1999 0.8001 0.5000
Pd 0.5353 0.0707 0.0000
Pd 0.5353 0.4647 0.0000
Pd 0.6002 0.8001 0.5000
Pd 0.9293 0.4647 0.0000

Principal peaks in the range 2θ = 5–70°, by angle:
Position (°2θ)  d_spacing  intensity
33.1  2.704  25
36.1  2.489  100
37.4  2.403  31
42.7  2.120  11
44.0  2.060  38
45.4  1.999  27
48.6  1.873  12
49.7  1.836  26
60.2  1.537  15
69.5  1.352  19

***

4.
For RbCaCl3, a DFT-relaxed cell (PBE, Alexandria) gives the calculated X-ray powder pattern in this record (Cu Kα).

Structure:
a = 4.4033 Å, b = 7.0354 Å, c = 9.6367 Å
α = 90.00°, β = 90.00°, γ = 90.00°
Atoms (fractional coordinates):
Rb 0.2500 0.2500 0.1334
Rb 0.7500 0.7500 0.8666
Ca 0.2500 0.7500 0.3968
Ca 0.7500 0.2500 0.6032
Cl 0.2500 0.5049 0.6378
Cl 0.2500 0.7500 0.1129
Cl 0.2500 0.9951 0.6378
Cl 0.7500 0.0049 0.3622
Cl 0.7500 0.2500 0.8871
Cl 0.7500 0.4951 0.3622

Principal peaks in the range 2θ = 5–70°, by angle:
Position (°2θ)  d_spacing  intensity
22.4  3.975  40
25.6  3.481  32
27.0  3.304  33
27.4  3.250  75
33.9  2.643  100
37.3  2.409  33
37.9  2.372  23
41.0  2.202  28
43.3  2.088  42
56.6  1.625  18

***

5.
For AcNd2YEr, a DFT-relaxed cell (PBE, Alexandria) gives the calculated X-ray powder pattern in this record (Cu Kα).

Structure:
a = 7.4210 Å, b = 7.4210 Å, c = 7.3845 Å
α = 90.00°, β = 90.00°, γ = 110.02°
Atoms (fractional coordinates):
Ac 0.2461 0.7539 0.7500
Ac 0.7539 0.2461 0.2500
Nd 0.3063 0.3063 0.0000
Nd 0.3063 0.3063 0.5000
Nd 0.6937 0.6937 0.0000
Nd 0.6937 0.6937 0.5000
Y 0.0438 0.9562 0.2500
Y 0.9562 0.0438 0.7500
Er 0.3027 0.6973 0.2500
Er 0.6973 0.3027 0.7500

Principal peaks in the range 2θ = 5–70°, by angle:
Position (°2θ)  d_spacing  intensity
25.6  3.486  89
27.2  3.279  24
28.3  3.156  92
29.4  3.040  45
32.1  2.789  100
34.5  2.599  27
38.7  2.324  24
44.1  2.055  47
49.4  1.845  31
64.5  1.445  23